For Pr2Nd4ErSc, the GGA-PBE geometry in Alexandria gives the simulated X-ray diffraction stick pattern in this record (λ = 1.5418 Å (Cu Kα)).
Intensities are scaled so that the largest is 100.

Largest 8 diffraction maxima, by angle, 2θ from 5° to 70°:
2θ 30.3, intensity 100; 2θ 34.9, intensity 17; 2θ 35.1, intensity 17; 2θ 35.3, intensity 17; 2θ 50.4, intensity 24; 2θ 59.8, intensity 14; 2θ 60.1, intensity 14; 2θ 60.2, intensity 14

Crystal structure
```
8
Lattice="5.106 0.000 0.000 0.000 5.139 0.000 -0.014 0.000 10.182" Properties=species:S:1:pos:R:3 pbc="T T T"
Pr 0.000 0.000 0.000
Pr 2.546 2.570 5.091
Nd 5.101 2.570 2.501
Nd -0.009 2.570 7.681
Nd 2.550 0.000 2.511
Nd 2.542 0.000 7.671
Er -0.007 0.000 5.091
Sc 2.553 2.570 0.000
```

For Ba8Pt2O, the GGA-PBE geometry in Alexandria gives the simulated X-ray diffraction stick pattern in this record (λ = 1.5418 Å (Cu Kα)).
Intensities are scaled so that the largest is 100.

Largest 8 diffraction maxima, by angle, 2θ from 5° to 70°:
2θ 18.8, intensity 59; 2θ 21.7, intensity 100; 2θ 25.5, intensity 91; 2θ 26.5, intensity 79; 2θ 31.9, intensity 62; 2θ 34.5, intensity 61; 2θ 38.1, intensity 90; 2θ 47.0, intensity 81

Crystal structure
```
11
Lattice="9.447 0.000 0.000 -4.724 8.182 0.000 0.000 0.000 6.718" Properties=species:S:1:pos:R:3 pbc="T T T"
Ba 0.000 2.403 1.546
Ba -2.643 6.980 1.546
Ba 2.081 1.202 5.172
Ba 0.000 5.454 4.837
Ba 4.724 2.727 1.882
Ba 2.643 6.980 1.546
Ba 7.366 1.202 5.172
Ba 4.724 5.779 5.172
Pt 0.000 5.454 1.398
Pt 4.724 2.727 5.320
O 0.000 0.000 0.000
```

For Ho2Sc3Si4, the GGA-PBE geometry in Alexandria gives the simulated X-ray diffraction stick pattern in this record (λ = 1.5418 Å (Cu Kα)).
Intensities are scaled so that the largest is 100.

Largest 8 diffraction maxima, by angle, 2θ from 5° to 70°:
2θ 17.5, intensity 100; 2θ 32.2, intensity 61; 2θ 33.0, intensity 79; 2θ 34.9, intensity 77; 2θ 35.3, intensity 76; 2θ 35.4, intensity 41; 2θ 39.0, intensity 61; 2θ 40.3, intensity 36

Crystal structure
```
18
Lattice="7.357 0.000 0.000 0.000 7.373 0.000 -2.200 0.000 6.702" Properties=species:S:1:pos:R:3 pbc="T T T"
Ho 1.268 1.287 0.491
Ho 0.168 2.400 3.842
Ho 4.988 4.973 2.860
Ho 3.888 6.086 6.211
Sc 1.282 5.011 1.668
Sc 0.182 6.048 5.019
Sc 2.578 0.000 3.351
Sc 3.678 3.686 0.000
Sc 4.974 1.325 1.683
Sc 3.874 2.362 5.034
Si -1.335 3.947 5.800
Si -0.235 7.113 2.449
Si 1.706 0.897 5.847
Si 2.806 2.790 2.496
Si 2.351 4.583 4.206
Si 3.451 6.476 0.855
Si 5.392 0.260 4.253
Si 6.492 3.426 0.902
```

For Nb2CdO6, the GGA-PBE geometry in Alexandria gives the simulated X-ray diffraction stick pattern in this record (λ = 1.5418 Å (Cu Kα)).
Intensities are scaled so that the largest is 100.

Largest 8 diffraction maxima, by angle, 2θ from 5° to 70°:
2θ 23.1, intensity 20; 2θ 28.8, intensity 100; 2θ 29.7, intensity 12; 2θ 34.5, intensity 25; 2θ 48.9, intensity 12; 2θ 50.6, intensity 33; 2θ 58.4, intensity 13; 2θ 60.2, intensity 12

Crystal structure
```
36
Lattice="15.038 0.000 0.000 0.000 6.018 0.000 0.000 0.000 5.202" Properties=species:S:1:pos:R:3 pbc="T T T"
Nb 2.486 1.091 1.228
Nb 2.486 4.927 3.829
Nb 5.033 1.918 3.829
Nb 5.033 4.100 1.228
Nb 10.005 1.918 3.975
Nb 10.005 4.100 1.373
Nb 12.552 1.091 1.373
Nb 12.552 4.927 3.975
Cd 0.000 1.850 3.902
Cd 0.000 4.169 1.301
Cd 7.519 1.160 1.301
Cd 7.519 4.859 3.902
O 1.287 2.291 0.552
O 1.287 3.727 3.153
O 1.563 0.543 2.857
O 1.563 5.476 0.256
O 3.684 0.804 4.734
O 3.684 5.214 2.133
O 3.836 2.205 2.133
O 3.836 3.813 4.734
O 5.956 2.467 0.256
O 5.956 3.552 2.857
O 6.232 0.718 3.153
O 6.232 5.300 0.552
O 8.806 0.718 4.650
O 8.806 5.300 2.049
O 9.082 2.467 2.345
O 9.082 3.552 4.946
O 11.203 2.205 0.468
O 11.203 3.813 3.069
O 11.355 0.804 3.069
O 11.355 5.214 0.468
O 13.475 0.543 4.946
O 13.475 5.476 2.345
O 13.751 2.291 2.049
O 13.751 3.727 4.650
```

For Ac8RuPt3, the GGA-PBE geometry in Alexandria gives the simulated X-ray diffraction stick pattern in this record (λ = 1.5418 Å (Cu Kα)).
Intensities are scaled so that the largest is 100.

Largest 8 diffraction maxima, by angle, 2θ from 5° to 70°:
2θ 12.6, intensity 22; 2θ 16.1, intensity 25; 2θ 24.8, intensity 29; 2θ 25.3, intensity 27; 2θ 28.7, intensity 51; 2θ 29.2, intensity 100; 2θ 41.4, intensity 77; 2θ 50.9, intensity 21

Crystal structure
```
12
Lattice="4.271 -6.228 0.000 4.271 6.228 0.000 0.000 0.000 8.785" Properties=species:S:1:pos:R:3 pbc="T T T"
Ac 2.033 0.071 2.112
Ac 4.271 3.273 0.000
Ac 4.271 3.226 4.392
Ac 2.033 -0.071 6.673
Ac 6.508 0.071 6.673
Ac 4.271 -3.226 4.392
Ac 4.271 -3.273 0.000
Ac 6.508 -0.071 2.112
Ru 0.000 0.000 0.000
Pt 0.000 0.000 4.392
Pt 2.135 3.114 2.216
Pt 2.135 -3.114 6.569
```

For Rb5Na4Tl2, the GGA-PBE geometry in Alexandria gives the simulated X-ray diffraction stick pattern in this record (λ = 1.5418 Å (Cu Kα)).
Intensities are scaled so that the largest is 100.

Largest 8 diffraction maxima, by angle, 2θ from 5° to 70°:
2θ 7.8, intensity 33; 2θ 8.0, intensity 100; 2θ 16.1, intensity 43; 2θ 21.5, intensity 85; 2θ 27.5, intensity 36; 2θ 28.1, intensity 36; 2θ 32.6, intensity 42; 2θ 35.7, intensity 38

Crystal structure
```
11
Lattice="-2.104 6.324 11.326 2.104 -6.324 11.326 2.104 6.324 -11.326" Properties=species:S:1:pos:R:3 pbc="T T T"
Rb 0.000 0.000 0.000
Rb 2.104 -3.583 7.885
Rb 0.000 2.740 3.441
Rb 2.104 3.583 7.885
Rb 0.000 9.907 3.441
Na 2.104 0.000 6.300
Na 2.104 4.305 0.000
Na 0.000 2.019 11.326
Na 0.000 6.324 5.026
Tl 2.104 0.000 9.599
Tl 0.000 6.324 1.727
```

Q: Which formula does entry 4 have?
A: Nb2CdO6